Tb4MgZn3: simulated X-ray diffraction stick pattern (Cu Kα, 1.54184 Å), based on a cell relaxed with PBE.
No peak broadening, texture or thermal motion is included.

Structure:
```
8
Lattice="3.6608 0.0000 0.0000 0.0000 5.1156 0.0000 0.0000 0.0000 10.2362" Properties=species:S:1:pos:R:3 pbc="T T T"
Tb 0.0000 0.0000 0.0000
Tb 0.0000 0.0000 5.1181
Tb 0.0000 2.5578 2.4433
Tb 0.0000 2.5578 7.7929
Mg 1.8304 2.5578 5.1181
Zn 1.8304 0.0000 2.6290
Zn 1.8304 0.0000 7.6072
Zn 1.8304 2.5578 0.0000
```

Top 10 peaks for 5° ≤ 2θ ≤ 70°, in order of rising 2θ:
d (Å), Position (°2θ), intensity, hkl
3.661, 24.3, 13, 1 0 0
3.618, 24.6, 24, 0 1 2
2.573, 34.9, 100, 1 1 2
2.558, 35.1, 49, 0 2 0
2.097, 43.1, 11, 1 2 0
1.830, 49.8, 9, 2 0 0
1.809, 50.4, 17, 0 2 4
1.633, 56.3, 5, 2 1 2
1.489, 62.4, 18, 2 2 0
1.480, 62.8, 34, 1 3 2